Simulated powder X-ray diffraction pattern of HfMg14SiO16 for CuKα, from a crystal structure in the Materials Project, relaxed with PBE.

Cell: 8.681 8.681 4.343 Å, 90.00 90.00 90.00°
Fractional positions:
Hf: 0.000 0.000 0.000
Mg: 0.000 0.255 0.500
Mg: 0.000 0.500 0.000
Mg: 0.000 0.745 0.500
Mg: 0.248 0.500 0.500
Mg: 0.254 0.254 0.000
Mg: 0.254 0.746 0.000
Mg: 0.255 0.000 0.500
Mg: 0.500 0.000 0.000
Mg: 0.500 0.248 0.500
Mg: 0.500 0.752 0.500
Mg: 0.745 0.000 0.500
Mg: 0.746 0.254 0.000
Mg: 0.746 0.746 0.000
Mg: 0.752 0.500 0.500
Si: 0.500 0.500 0.000
O: 0.000 0.000 0.500
O: 0.000 0.254 0.000
O: 0.000 0.500 0.500
O: 0.000 0.746 0.000
O: 0.239 0.500 0.000
O: 0.252 0.252 0.500
O: 0.252 0.748 0.500
O: 0.254 0.000 0.000
O: 0.500 0.000 0.500
O: 0.500 0.239 0.000
O: 0.500 0.500 0.500
O: 0.500 0.761 0.000
O: 0.746 0.000 0.000
O: 0.748 0.252 0.500
O: 0.748 0.748 0.500
O: 0.761 0.500 0.000

Principal peaks in the range 10 to 90 degrees two-theta, low angle first:
2θ = 10.19°, I = 57, hkl 1 0 0
2θ = 14.43°, I = 27, hkl 1 1 0
2θ = 22.90°, I = 42, hkl 2 1 0
2θ = 35.83°, I = 27, hkl 2 2 1
2θ = 41.61°, I = 100, hkl 0 0 2
2θ = 60.30°, I = 59, hkl 4 0 2


Simulated powder X-ray diffraction pattern of Ti3Al5 for CuKα, from a crystal structure in the Materials Project, relaxed with PBE.

Cell: 3.922 4.030 8.116 Å, 90.00 90.00 90.00°
Fractional positions:
Ti: 0.000 0.000 0.000
Ti: 0.500 0.000 0.265
Ti: 0.500 0.000 0.735
Al: 0.000 0.000 0.500
Al: 0.000 0.500 0.242
Al: 0.000 0.500 0.758
Al: 0.500 0.500 0.000
Al: 0.500 0.500 0.500

Principal peaks in the range 10 to 90 degrees two-theta, low angle first:
2θ = 38.98°, I = 100, hkl 1 1 2
2θ = 44.66°, I = 16, hkl 0 0 4
2θ = 44.98°, I = 16, hkl 0 2 0
2θ = 46.30°, I = 15, hkl 2 0 0
2θ = 78.93°, I = 11, hkl 1 3 2
2θ = 80.85°, I = 11, hkl 3 1 2


Simulated powder X-ray diffraction pattern of TiAlNi6 for CuKα, from a crystal structure in the Materials Project, relaxed with PBE.

Cell: 3.596 3.596 7.143 Å, 90.00 90.00 90.00°
Fractional positions:
Ti: 0.000 0.000 0.000
Al: 0.000 0.000 0.500
Ni: 0.000 0.500 0.252
Ni: 0.000 0.500 0.748
Ni: 0.500 0.000 0.252
Ni: 0.500 0.000 0.748
Ni: 0.500 0.500 0.000
Ni: 0.500 0.500 0.500

Principal peaks in the range 10 to 90 degrees two-theta, low angle first:
2θ = 24.76°, I = 3, hkl 1 0 0
2θ = 43.70°, I = 100, hkl 1 1 2
2θ = 50.78°, I = 31, hkl 2 0 0
2θ = 51.15°, I = 15, hkl 0 0 4
2θ = 74.65°, I = 9, hkl 2 2 0
2θ = 74.95°, I = 18, hkl 2 0 4